[1]
Starting from a DFT-relaxed cell (PBE, Alexandria), the XRD peak list of AcZnCoH6 was computed for Cu Kα, 1.54184 Å.
Neutral-atom scattering factors, no anomalous dispersion.

Most intense lines, 2θ = 10–80°, by angle:
2θ/deg, intensity, hkl
22.6, 25, 1 0 0
29.6, 100, 1 0 1
38.2, 12, 0 0 2
39.7, 34, 1 1 0
50.3, 23, 2 0 1
56.3, 25, 1 1 2
63.9, 11, 1 0 3
65.9, 21, 2 1 1

Atomic structure:
```
data_AcZnCoH6
_symmetry_space_group_name_H-M 'P -6 m 2'
_symmetry_Int_Tables_number 187
_symmetry_space_group_name_Hall 'P -6 2'
_cell_length_a 4.5413
_cell_length_b 4.5413
_cell_length_c 4.7089
_cell_angle_alpha 90.00
_cell_angle_beta 90.00
_cell_angle_gamma 120.00
loop_
_atom_site_label
_atom_site_fract_x
_atom_site_fract_y
_atom_site_fract_z
Ac1 0.0000 0.0000 0.0000
Zn1 0.3333 0.6667 0.5000
Co1 0.6667 0.3333 0.5000
H1 0.5163 0.0326 0.2638
```



[2]
Starting from a DFT-relaxed cell (PBE, Alexandria), the XRD peak list of Cr3Ir2Rh was computed for Cu Kα, 1.54184 Å.
Neutral-atom scattering factors, no anomalous dispersion.

Most intense lines, 2θ = 10–80°, by angle:
2θ/deg, intensity, hkl
24.3, 25, 0 2 0
33.2, 23, 1 0 3
41.5, 100, 1 2 3
47.4, 17, 0 0 6
47.9, 16, 2 0 0
49.7, 15, 0 4 0
69.7, 10, 2 0 6
71.1, 10, 0 4 6

Atomic structure:
```
data_Cr3Ir2Rh
_symmetry_space_group_name_H-M 'I m m a'
_symmetry_Int_Tables_number 74
_symmetry_space_group_name_Hall '-I 2b 2'
_cell_length_a 3.797
_cell_length_b 7.338
_cell_length_c 11.500
_cell_angle_alpha 90.00
_cell_angle_beta 90.00
_cell_angle_gamma 90.00
loop_
_atom_site_label
_atom_site_fract_x
_atom_site_fract_y
_atom_site_fract_z
Cr1 0.000 0.000 0.000
Cr2 0.000 0.001 0.336
Ir1 0.000 0.250 0.166
Ir2 0.000 0.250 0.501
Rh1 0.000 0.250 0.833
```